The following is a computed XRD peak list of TbNd5In2. It was derived from a cell relaxed with GGA-PBE, using Cu Kα.

The 10 most intense peaks (10 to 80 degrees two-theta), by angle:
hkl 0 0 1, d = 4.961 Å, 2θ 17.88, rel. 8; hkl 2 0 1, d = 2.865 Å, 2θ 31.22, rel. 1000; hkl 2 4 0, d = 2.484 Å, 2θ 36.16, rel. 337; hkl 0 0 2, d = 2.476 Å, 2θ 36.28, rel. 167; hkl 2 4 2, d = 1.755 Å, 2θ 52.13, rel. 352; hkl 4 4 1, d = 1.497 Å, 2θ 61.97, rel. 277; hkl 2 0 3, d = 1.494 Å, 2θ 62.13, rel. 138; hkl 0 8 2, d = 1.433 Å, 2θ 65.11, rel. 119; hkl 4 8 0, d = 1.242 Å, 2θ 76.74, rel. 37; hkl 0 0 4, d = 1.238 Å, 2θ 77.03, rel. 18

Lattice parameters (Å, degrees): 7.0255 14.0512 4.9520 90.00 90.00 90.00
Fractional coordinates of all 16 atoms:
Tb 0.0000 0.0000 0.0000
Tb 0.5000 0.5000 0.0000
Nd 0.0000 0.5000 0.0000
Nd 0.0038 0.2483 0.0000
Nd 0.2485 0.6243 0.5000
Nd 0.2515 0.1243 0.5000
Nd 0.4962 0.7483 0.0000
Nd 0.5000 0.0000 0.0000
Nd 0.5038 0.2517 0.0000
Nd 0.7485 0.8757 0.5000
Nd 0.7515 0.3757 0.5000
Nd 0.9962 0.7517 0.0000
In 0.2450 0.8768 0.5000
In 0.2550 0.3768 0.5000
In 0.7450 0.6232 0.5000
In 0.7550 0.1232 0.5000